The following is a calculated PXRD pattern of Tl2CoF5. It was derived from a structure optimized by DFT (GGA+U), using Cu Ka.

Peak list (10 most intense, 15 to 90 degrees two-theta, low angle first)
hkl, two_theta, I (rel.)
1 1 2, 23.85, 41
2 0 1, 24.34, 34
0 1 3, 26.47, 100
2 0 2, 27.46, 29
2 1 1, 28.64, 37
0 2 0, 30.00, 49
2 1 2, 31.36, 45
1 0 5, 38.59, 27
2 2 1, 39.00, 33
2 2 2, 41.12, 27

Structural model:
abc: 7.664 5.958 12.247
angles: 90.00 90.00 90.00
Element x y z (fractional)
Tl 0.042 0.250 0.212
Tl 0.150 0.750 0.420
Tl 0.350 0.250 0.920
Tl 0.458 0.750 0.712
Tl 0.542 0.250 0.288
Tl 0.650 0.750 0.080
Tl 0.850 0.250 0.580
Tl 0.958 0.750 0.788
Co 0.165 0.750 0.058
Co 0.335 0.250 0.558
Co 0.665 0.750 0.442
Co 0.835 0.250 0.942
F 0.000 0.000 0.000
F 0.000 0.500 0.000
F 0.034 0.750 0.184
F 0.181 0.015 0.607
F 0.181 0.485 0.607
F 0.235 0.250 0.418
F 0.265 0.750 0.918
F 0.319 0.515 0.107
F 0.319 0.985 0.107
F 0.466 0.250 0.684
F 0.500 0.000 0.500
F 0.500 0.500 0.500
F 0.534 0.750 0.316
F 0.681 0.015 0.893
F 0.681 0.485 0.893
F 0.735 0.250 0.082
F 0.765 0.750 0.582
F 0.819 0.515 0.393
F 0.819 0.985 0.393
F 0.966 0.250 0.816